Record 1
This entry pairs a crystal structure of Er3Ga8Ir3 with its simulated powder diffraction line list. Radiation: a wavelength of 1.5418 Å. Structure: a GGA-PBE-relaxed structure.
Lines closer than 0.1° are merged.

Largest 10 diffraction maxima, in order of rising 2θ, 2θ from 10° to 90°:
Position (°2θ)	I (rel.)	hkl
11.48	21.2	0 1 1
14.47	24.1	0 0 2
28.83	15.3	1 2 1
34.92	14.2	0 3 3
35.65	100.0	1 2 3
37.64	17.9	1 3 2
43.20	27.6	2 0 0
44.41	17.3	0 0 6
45.83	18.9	1 3 4
46.71	14.9	1 2 5

Cell and atoms:
```
data_Er3Ga8Ir3
_cell_length_a 4.189
_cell_length_b 9.925
_cell_length_c 12.240
_cell_angle_alpha 90.00
_cell_angle_beta 90.00
_cell_angle_gamma 90.00
_symmetry_space_group_name_H-M 'I m m m'
_symmetry_Int_Tables_number 71
_symmetry_space_group_name_Hall '-I 2 2'
loop_
_atom_site_label
_atom_site_fract_x
_atom_site_fract_y
_atom_site_fract_z
_atom_site_occupancy
Er1 0.000 0.000 0.000 1
Er2 0.000 0.000 0.329 1
Ga1 0.000 0.286 0.126 1
Ga2 0.000 0.372 0.334 1
Ir1 0.000 0.215 0.500 1
Ir2 0.000 0.500 0.000 1
```

***

Record 2
This entry pairs a crystal structure of Zr9ScO20 with its simulated powder diffraction line list. Radiation: a wavelength of 1.5418 Å. Structure: a GGA-PBE-relaxed structure.
Lines closer than 0.1° are merged.

Largest 10 diffraction maxima, in order of rising 2θ, 2θ from 10° to 90°:
Position (°2θ)	I (rel.)	hkl
29.88	100.0	2 0 1
34.13	7.8	2 2 0
34.84	6.3	-1 2 1
49.55	9.8	1 4 1
49.63	29.2	3 2 3
50.12	10.1	0 2 4
50.23	10.0	2 -2 2
58.49	14.0	3 4 2
59.43	13.3	0 4 3
59.58	13.2	3 0 4

Cell and atoms:
```
data_Zr9ScO20
_cell_length_a 6.386
_cell_length_b 7.360
_cell_length_c 8.126
_cell_angle_alpha 77.10
_cell_angle_beta 75.37
_cell_angle_gamma 72.19
_symmetry_space_group_name_H-M 'P 1'
_symmetry_Int_Tables_number 1
_symmetry_space_group_name_Hall 'P 1'
loop_
_atom_site_label
_atom_site_fract_x
_atom_site_fract_y
_atom_site_fract_z
_atom_site_occupancy
Zr1 0.000 0.000 0.000 1
Zr2 0.001 0.497 0.996 1
Zr3 0.201 0.799 0.601 1
Zr4 0.399 0.099 0.207 1
Zr5 0.400 0.597 0.203 1
Zr6 0.595 0.903 0.801 1
Zr7 0.602 0.398 0.799 1
Zr8 0.801 0.198 0.404 1
Zr9 0.807 0.694 0.402 1
Sc1 0.201 0.298 0.601 1
O1 0.024 0.181 0.160 1
O2 0.077 0.715 0.142 1
O3 0.130 0.582 0.459 1
O4 0.173 0.113 0.445 1
O5 0.229 0.977 0.763 1
O6 0.273 0.518 0.747 1
O7 0.323 0.381 0.061 1
O8 0.376 0.916 0.045 1
O9 0.427 0.781 0.360 1
O10 0.479 0.313 0.339 1
O11 0.528 0.184 0.659 1
O12 0.577 0.716 0.642 1
O13 0.623 0.581 0.959 1
O14 0.674 0.115 0.943 1
O15 0.727 0.980 0.259 1
O16 0.776 0.516 0.241 1
O17 0.823 0.387 0.557 1
O18 0.875 0.914 0.543 1
O19 0.922 0.783 0.860 1
O20 0.974 0.313 0.843 1
```

***

Record 3
This entry pairs a crystal structure of Hf2InC with its simulated powder diffraction line list. Radiation: a wavelength of 1.5418 Å. Structure: a GGA-PBE-relaxed structure.
Lines closer than 0.1° are merged.

Largest 10 diffraction maxima, in order of rising 2θ, 2θ from 10° to 90°:
Position (°2θ)	I (rel.)	hkl
11.87	6.9	0 0 2
31.08	18.6	1 0 0
36.08	100.0	0 0 6
48.40	12.9	1 0 6
55.29	16.7	1 1 0
64.79	2.3	2 0 0
64.96	14.8	1 0 9
67.84	29.8	1 1 6
76.51	3.3	2 0 6
85.05	2.2	1 0 12

Cell and atoms:
```
data_Hf2InC
_cell_length_a 3.3230
_cell_length_b 3.3230
_cell_length_c 14.9074
_cell_angle_alpha 90.00
_cell_angle_beta 90.00
_cell_angle_gamma 120.00
_symmetry_space_group_name_H-M 'P 63/m m c'
_symmetry_Int_Tables_number 194
_symmetry_space_group_name_Hall '-P 6c 2c'
loop_
_atom_site_label
_atom_site_fract_x
_atom_site_fract_y
_atom_site_fract_z
_atom_site_occupancy
Hf1 0.3333 0.6667 0.0817 1
In1 0.3333 0.6667 0.7500 1
C1 0.0000 0.0000 0.0000 1
```